Simulated powder X-ray diffraction pattern
Compound: K2MgFe2S4
Radiation: Cu Kα X-rays
Structure: the PBE geometry in the Materials Project

Structure:
```
K2MgFe2S4
1.0
3.5687 -5.7719 0.0000
3.5687 5.7719 0.0000
-2.2223 0.0000 4.7914
K Mg Fe S
2 1 2 4
direct
0.0000 0.0000 0.0000
0.7689 0.2311 0.5000
0.1649 0.8351 0.5000
0.4243 0.5757 0.5000
0.4261 0.5739 0.0000
0.1335 0.5170 0.1441
0.3331 0.2753 0.6376
0.4830 0.8665 0.8559
0.7247 0.6669 0.3624
```

Top 6 peaks for 10° ≤ 2θ ≤ 80°, in order of falling intensity:
d/Å  I/Imax
5.647  100.0
2.952  88.1
5.772  83.8
2.175  47.5
3.308  45.1
2.484  43.2


Simulated powder X-ray diffraction pattern
Compound: ZrP
Radiation: Cu Kα X-rays
Structure: the PBE geometry in the Materials Project

Structure:
```
ZrP
1.0
3.7074 0.0000 0.0000
-1.8537 3.2107 0.0000
0.0000 0.0000 12.6345
Zr P
4 4
direct
0.3333 0.6667 0.1157
0.3333 0.6667 0.3843
0.6667 0.3333 0.6157
0.6667 0.3333 0.8843
0.0000 0.0000 0.0000
0.0000 0.0000 0.5000
0.3333 0.6667 0.7500
0.6667 0.3333 0.2500
```

Top 6 peaks for 10° ≤ 2θ ≤ 80°, in order of falling intensity:
d/Å  I/Imax
2.553  100.0
1.854  45.0
3.112  44.1
2.252  30.6
3.211  22.4
1.986  19.3


Simulated powder X-ray diffraction pattern
Compound: GdCO4
Radiation: Cu Kα X-rays
Structure: the PBE geometry in the Materials Project

Structure:
```
GdCO4
1.0
4.9381 0.0000 0.0000
0.0000 7.2834 0.0000
0.0000 0.0000 8.3649
Gd C O
4 4 16
direct
0.0021 0.1078 0.1688
0.4979 0.8922 0.6688
0.5021 0.3922 0.8312
0.9979 0.6078 0.3312
0.0028 0.0505 0.8211
0.4972 0.9495 0.3211
0.5028 0.4495 0.1789
0.9972 0.5505 0.6789
0.0082 0.4485 0.8030
0.0202 0.8006 0.1218
0.2136 0.5995 0.6035
0.2379 0.0973 0.8790
0.2621 0.9027 0.3790
0.2864 0.4005 0.1035
0.4798 0.1994 0.6218
0.4918 0.5515 0.3030
0.5082 0.0515 0.1970
0.5202 0.6994 0.8782
0.7136 0.9005 0.3965
0.7379 0.4027 0.1210
0.7621 0.5973 0.6210
0.7864 0.0995 0.8965
0.9798 0.3006 0.3782
0.9918 0.9485 0.6970
```

Top 6 peaks for 10° ≤ 2θ ≤ 80°, in order of falling intensity:
d/Å  I/Imax
4.252  100.0
2.929  78.6
3.339  46.9
3.672  45.6
2.303  44.9
1.985  41.9


Simulated powder X-ray diffraction pattern
Compound: Cs2YHgF6
Radiation: Cu Kα X-rays
Structure: the PBE geometry in the Materials Project

Structure:
```
Cs2YHgF6
1.0
0.0000 4.8281 4.8281
4.8281 0.0000 4.8281
4.8281 4.8281 0.0000
Cs Y Hg F
2 1 1 6
direct
0.2500 0.2500 0.2500
0.7500 0.7500 0.7500
0.0000 0.0000 0.0000
0.5000 0.5000 0.5000
0.2270 0.2270 0.7730
0.2270 0.7730 0.2270
0.2270 0.7730 0.7730
0.7730 0.2270 0.2270
0.7730 0.2270 0.7730
0.7730 0.7730 0.2270
```

Top 6 peaks for 10° ≤ 2θ ≤ 80°, in order of falling intensity:
d/Å  I/Imax
3.414  100.0
1.971  42.5
2.414  32.6
1.290  23.0
1.707  21.4
1.527  20.2